Computed PXRD pattern of LiErVO4 for Cu Kα X-rays, from a DFT-relaxed cell (GGA+U, Alexandria).
Intensities are scaled so that the largest is 1000.

The 10 most intense peaks (2θ from 5° to 70°), in order of rising 2θ:
| 2θ (°) | Rel. int. | h k l |
| --- | --- | --- |
| 17.99 | 806 | 1 0 1 |
| 21.57 | 490 | 0 0 2 |
| 29.02 | 377 | 2 0 0 |
| 32.05 | 1000 | 1 2 1 |
| 35.81 | 429 | 1 0 3 |
| 39.56 | 248 | 2 2 0 |
| 44.97 | 225 | 1 2 3 |
| 45.52 | 312 | 2 2 2 |
| 53.38 | 256 | 3 2 1 |
| 60.62 | 291 | 2 2 4 |

Atomic structure:
Unit cell a=6.154 b=6.776 c=8.238 alpha=90.00 beta=90.00 gamma=90.00
Space group Imma (No. 74)
Inequivalent atoms, fractional coordinates:
Li (0.250, 0.250, 0.250) [4 per cell]
Er (0.000, 0.000, 0.000) [4 per cell]
V (0.000, 0.250, 0.615) [4 per cell]
O (0.000, 0.022, 0.727) [8 per cell]
O (0.239, 0.250, 0.009) [8 per cell]